(1)
The following is a theoretical powder XRD pattern of Ba6Gd2Ga4O15. It was derived from a DFT-relaxed cell (GGA-PBE, the Materials Project), using a wavelength of 1.5418 Å.

Structure:
```
data_Ba6Gd2Ga4O15
_symmetry_space_group_name_H-M 'P 1 2/c 1'
_symmetry_Int_Tables_number 13
_symmetry_space_group_name_Hall '-P 2yc'
_cell_length_a 8.1038
_cell_length_b 6.0868
_cell_length_c 18.7447
_cell_angle_alpha 90.00
_cell_angle_beta 91.09
_cell_angle_gamma 90.00
loop_
_atom_site_label
_atom_site_type_symbol
_atom_site_fract_x
_atom_site_fract_y
_atom_site_fract_z
_atom_site_occupancy
Ba1 Ba 0.0000 0.1661 0.2500 1
Ba2 Ba 0.0017 0.2567 0.5790 1
Ba3 Ba 0.4703 0.2424 0.9099 1
Ba4 Ba 0.5000 0.2231 0.2500 1
Gd1 Gd 0.2514 0.2441 0.0902 1
Ga1 Ga 0.2535 0.2530 0.4405 1
Ga2 Ga 0.2705 0.2766 0.7351 1
O1 O 0.0345 0.2567 0.4066 1
O2 O 0.1899 0.1753 0.8192 1
O3 O 0.2264 0.4542 0.1925 1
O4 O 0.2473 0.0541 0.6651 1
O5 O 0.2629 0.5003 0.0028 1
O6 O 0.2653 0.0019 0.4995 1
O7 O 0.4514 0.2605 0.3900 1
O8 O 0.5000 0.2908 0.7500 1
```

The 12 most intense peaks (2θ = 10–80°), most intense first:
d/Å, two_theta, I_rel, index
2.949, 30.31, 100, 2 1 3
2.987, 29.91, 93, 2 1 -3
3.043, 29.35, 52, 0 2 0
3.124, 28.58, 48, 0 0 6
2.180, 41.42, 44, 0 2 6
2.026, 44.74, 22, 4 0 0
1.785, 51.18, 18, 2 1 -9
1.746, 52.40, 16, 2 3 -3
1.686, 54.41, 15, 4 2 0
1.738, 52.66, 15, 2 3 3
1.759, 51.98, 14, 2 1 9
1.494, 62.13, 13, 4 2 -6

(2)
The following is a theoretical powder XRD pattern of LiAlGeO4. It was derived from a DFT-relaxed cell (GGA-PBE, the Materials Project), using a wavelength of 1.5418 Å.

Structure:
```
data_LiAlGeO4
_symmetry_space_group_name_H-M 'R -3'
_symmetry_Int_Tables_number 148
_symmetry_space_group_name_Hall '-R 3'
_cell_length_a 13.9564
_cell_length_b 13.9564
_cell_length_c 9.3118
_cell_angle_alpha 90.00
_cell_angle_beta 90.00
_cell_angle_gamma 120.00
loop_
_atom_site_label
_atom_site_type_symbol
_atom_site_fract_x
_atom_site_fract_y
_atom_site_fract_z
_atom_site_occupancy
Li1 Li 0.0202 0.8115 0.2402 1
Al1 Al 0.0124 0.8039 0.9195 1
Ge1 Ge 0.0222 0.8047 0.5843 1
O1 O 0.0002 0.3391 0.7600 1
O2 O 0.0727 0.8708 0.7501 1
O3 O 0.0962 0.8857 0.4307 1
O4 O 0.0965 0.8782 0.0631 1
```

The 12 most intense peaks (2θ = 10–80°), most intense first:
d/Å, two_theta, I_rel, index
4.101, 21.67, 100, 3 -1 1
2.836, 31.55, 64, 2 -1 3
2.638, 33.99, 64, 4 1 0
3.489, 25.53, 54, 2 2 0
1.423, 65.62, 34, 8 -1 3
7.376, 12.00, 32, 1 0 1
1.861, 48.93, 31, 6 -3 3
3.261, 27.35, 29, 3 -2 2
4.345, 20.44, 24, 0 1 2
6.978, 12.69, 24, 1 1 0
2.319, 38.83, 20, 4 -2 3
4.029, 22.06, 18, 3 0 0

(3)
The following is a theoretical powder XRD pattern of CeSe2. It was derived from a DFT-relaxed cell (GGA-PBE, the Materials Project), using a wavelength of 1.5418 Å.

Structure:
```
data_CeSe2
_symmetry_space_group_name_H-M 'P 1 21 1'
_symmetry_Int_Tables_number 4
_symmetry_space_group_name_Hall 'P 2yb'
_cell_length_a 8.7086
_cell_length_b 14.1596
_cell_length_c 8.7174
_cell_angle_alpha 90.00
_cell_angle_beta 119.80
_cell_angle_gamma 90.00
loop_
_atom_site_label
_atom_site_type_symbol
_atom_site_fract_x
_atom_site_fract_y
_atom_site_fract_z
_atom_site_occupancy
Ce1 Ce 0.1179 0.0000 0.3458 1
Ce2 Ce 0.2127 0.3770 0.3205 1
Se1 Se 0.0560 0.4059 0.9670 1
Se2 Se 0.0672 0.4764 0.4829 1
Se3 Se 0.1667 0.1888 0.3335 1
Se4 Se 0.4373 0.9149 0.5341 1
```

The 12 most intense peaks (2θ = 10–80°), most intense first:
d/Å, two_theta, I_rel, index
7.554, 11.71, 100, 0 0 1
6.664, 13.29, 64, 1 1 0
7.080, 12.50, 55, 0 2 0
5.165, 17.17, 35, 1 2 -1
4.361, 20.36, 32, 1 0 1
2.011, 45.09, 27, 1 5 -3
2.651, 33.81, 21, 0 5 1
2.153, 41.97, 20, 4 1 -2
3.649, 24.39, 19, 2 1 0
2.800, 31.97, 18, 3 1 -1
2.076, 43.61, 16, 1 6 1
3.205, 27.84, 16, 1 4 -1